Simulated powder XRD pattern
Compound: Dy5HoSc
Radiation: Cu Kα (λ = 1.5418 Å)
Structure: a cell relaxed with PBE
Peak positions follow from Bragg's law for the DFT cell and can differ from measured ones.

Most intense lines, 10 to 90 degrees two-theta, sorted by position:
15.2°, d = 5.845 Å, intensity 59
20.6°, d = 4.306 Å, intensity 53
24.2°, d = 3.680 Å, intensity 100
30.6°, d = 2.922 Å, intensity 81
31.5°, d = 2.837 Å, intensity 75
32.1°, d = 2.788 Å, intensity 49
35.0°, d = 2.561 Å, intensity 52
44.5°, d = 2.035 Å, intensity 58

Crystal structure
```
Dy5HoSc
1.0
-2.837 4.306 5.845
2.837 -4.306 5.845
2.837 4.306 -5.845
Dy Ho Sc
5 1 1
direct
0.000 0.000 0.000 Dy
0.251 0.751 0.500 Dy
0.325 0.500 0.825 Dy
0.675 0.500 0.175 Dy
0.749 0.249 0.500 Dy
0.000 0.500 0.500 Ho
0.500 0.000 0.500 Sc
```


Simulated powder XRD pattern
Compound: CeDy2Au
Radiation: Cu Kα (λ = 1.5418 Å)
Structure: a cell relaxed with PBE
Peak positions follow from Bragg's law for the DFT cell and can differ from measured ones.

Most intense lines, 10 to 90 degrees two-theta, sorted by position:
10.7°, d = 8.240 Å, intensity 15
33.0°, d = 2.714 Å, intensity 100
35.2°, d = 2.551 Å, intensity 47
41.3°, d = 2.185 Å, intensity 10
50.6°, d = 1.804 Å, intensity 17
57.5°, d = 1.603 Å, intensity 14
61.8°, d = 1.502 Å, intensity 33
69.2°, d = 1.357 Å, intensity 8

Crystal structure
```
CeDy2Au
1.0
3.607 0.000 0.000
0.000 3.607 0.000
0.000 0.000 8.240
Ce Dy Au
1 2 1
direct
0.000 0.000 0.000 Ce
0.500 0.500 0.289 Dy
0.500 0.500 0.711 Dy
0.000 0.000 0.500 Au
```


Simulated powder XRD pattern
Compound: Sr2RuPbO5
Radiation: Cu Kα (λ = 1.5418 Å)
Structure: a cell relaxed with PBE
Peak positions follow from Bragg's law for the DFT cell and can differ from measured ones.

Most intense lines, 10 to 90 degrees two-theta, sorted by position:
25.5°, d = 3.499 Å, intensity 20
29.7°, d = 3.010 Å, intensity 100
30.3°, d = 2.951 Å, intensity 29
32.4°, d = 2.765 Å, intensity 18
36.3°, d = 2.474 Å, intensity 28
39.5°, d = 2.282 Å, intensity 15
48.0°, d = 1.896 Å, intensity 25
53.4°, d = 1.715 Å, intensity 20

Crystal structure
```
Sr2RuPbO5
1.0
6.997 0.000 0.000
0.000 6.997 0.000
0.000 0.000 5.902
Sr Ru Pb O
4 2 2 10
direct
0.177 0.323 0.000 Sr
0.323 0.823 0.000 Sr
0.677 0.177 0.000 Sr
0.823 0.677 0.000 Sr
0.000 0.500 0.500 Ru
0.500 0.000 0.500 Ru
0.000 0.000 0.500 Pb
0.500 0.500 0.500 Pb
0.000 0.000 0.000 O
0.135 0.635 0.273 O
0.135 0.635 0.727 O
0.365 0.135 0.273 O
0.365 0.135 0.727 O
0.500 0.500 0.000 O
0.635 0.865 0.273 O
0.635 0.865 0.727 O
0.865 0.365 0.273 O
0.865 0.365 0.727 O
```


Simulated powder XRD pattern
Compound: LiY2Si
Radiation: Cu Kα (λ = 1.5418 Å)
Structure: a cell relaxed with PBE
Peak positions follow from Bragg's law for the DFT cell and can differ from measured ones.

Most intense lines, 10 to 90 degrees two-theta, sorted by position:
23.3°, d = 3.810 Å, intensity 30
26.6°, d = 3.354 Å, intensity 71
31.5°, d = 2.839 Å, intensity 100
32.9°, d = 2.724 Å, intensity 27
33.1°, d = 2.709 Å, intensity 51
39.4°, d = 2.285 Å, intensity 27
52.3°, d = 1.751 Å, intensity 22
54.9°, d = 1.674 Å, intensity 23

Crystal structure
```
LiY2Si
1.0
4.257 0.000 0.000
0.000 2.033 5.447
0.000 -2.033 5.447
Li Y Si
1 2 1
direct
0.000 0.000 0.000 Li
0.000 0.701 0.701 Y
0.500 0.416 0.416 Y
0.500 0.135 0.135 Si
```


Simulated powder XRD pattern
Compound: LiPr2Sn8
Radiation: Cu Kα (λ = 1.5418 Å)
Structure: a cell relaxed with PBE
Peak positions follow from Bragg's law for the DFT cell and can differ from measured ones.

Most intense lines, 10 to 90 degrees two-theta, sorted by position:
30.0°, d = 2.975 Å, intensity 32
33.7°, d = 2.662 Å, intensity 100
38.3°, d = 2.352 Å, intensity 42
51.9°, d = 1.763 Å, intensity 22
55.2°, d = 1.663 Å, intensity 14
62.4°, d = 1.488 Å, intensity 19
66.3°, d = 1.410 Å, intensity 35
88.1°, d = 1.109 Å, intensity 15

Crystal structure
```
LiPr2Sn8
1.0
4.704 0.000 0.000
0.000 4.704 0.000
0.000 0.000 13.316
Li Pr Sn
1 2 8
direct
0.000 0.000 0.000 Li
0.000 0.000 0.320 Pr
0.000 0.000 0.680 Pr
0.000 0.500 0.127 Sn
0.000 0.500 0.500 Sn
0.000 0.500 0.873 Sn
0.500 0.000 0.127 Sn
0.500 0.000 0.500 Sn
0.500 0.000 0.873 Sn
0.500 0.500 0.306 Sn
0.500 0.500 0.694 Sn
```


Simulated powder XRD pattern
Compound: NaEuAsS4
Radiation: Cu Kα (λ = 1.5418 Å)
Structure: a cell relaxed with PBE
Peak positions follow from Bragg's law for the DFT cell and can differ from measured ones.

Most intense lines, 10 to 90 degrees two-theta, sorted by position:
15.7°, d = 5.642 Å, intensity 89
18.0°, d = 4.920 Å, intensity 44
23.7°, d = 3.753 Å, intensity 91
25.1°, d = 3.550 Å, intensity 41
29.8°, d = 3.002 Å, intensity 62
31.1°, d = 2.879 Å, intensity 32
36.5°, d = 2.460 Å, intensity 100
44.6°, d = 2.030 Å, intensity 32

Crystal structure
```
NaEuAsS4
1.0
10.054 0.000 0.000
0.000 5.013 3.413
0.000 -5.013 3.413
Na Eu As S
2 2 2 8
direct
0.250 0.185 0.815 Na
0.750 0.815 0.185 Na
0.000 0.552 0.552 Eu
0.500 0.552 0.552 Eu
0.250 0.808 0.242 As
0.750 0.242 0.808 As
0.068 0.990 0.425 S
0.250 0.460 0.288 S
0.250 0.718 0.851 S
0.432 0.990 0.425 S
0.568 0.425 0.990 S
0.750 0.288 0.460 S
0.750 0.851 0.718 S
0.932 0.425 0.990 S
```


Simulated powder XRD pattern
Compound: YCo2Ni5
Radiation: Cu Kα (λ = 1.5418 Å)
Structure: a cell relaxed with PBE
Peak positions follow from Bragg's law for the DFT cell and can differ from measured ones.

Most intense lines, 10 to 90 degrees two-theta, sorted by position:
34.6°, d = 2.594 Å, intensity 25
37.9°, d = 2.375 Å, intensity 87
39.3°, d = 2.295 Å, intensity 100
47.8°, d = 1.904 Å, intensity 39
49.2°, d = 1.850 Å, intensity 55
50.2°, d = 1.819 Å, intensity 41
52.3°, d = 1.750 Å, intensity 23
72.9°, d = 1.297 Å, intensity 31

Crystal structure
```
YCo2Ni5
1.0
-1.819 3.352 4.438
1.819 -3.352 4.438
1.819 3.352 -4.438
Y Co Ni
1 2 5
direct
0.000 0.000 0.000 Y
0.244 0.744 0.500 Co
0.756 0.256 0.500 Co
0.170 0.354 0.816 Ni
0.463 0.646 0.816 Ni
0.500 0.000 0.500 Ni
0.537 0.354 0.184 Ni
0.830 0.646 0.184 Ni
```


Simulated powder XRD pattern
Compound: K4NpBr6
Radiation: Cu Kα (λ = 1.5418 Å)
Structure: a cell relaxed with PBE
Peak positions follow from Bragg's law for the DFT cell and can differ from measured ones.

Most intense lines, 10 to 90 degrees two-theta, sorted by position:
13.2°, d = 6.707 Å, intensity 100
13.5°, d = 6.545 Å, intensity 51
28.3°, d = 3.153 Å, intensity 61
29.2°, d = 3.062 Å, intensity 49
30.5°, d = 2.927 Å, intensity 84
43.7°, d = 2.070 Å, intensity 23
45.0°, d = 2.013 Å, intensity 31
48.7°, d = 1.871 Å, intensity 29

Crystal structure
```
K4NpBr6
1.0
9.256 0.000 0.000
0.000 9.256 0.000
0.000 0.000 9.733
K Np Br
8 2 12
direct
0.172 0.328 0.250 K
0.172 0.328 0.750 K
0.328 0.828 0.250 K
0.328 0.828 0.750 K
0.672 0.172 0.250 K
0.672 0.172 0.750 K
0.828 0.672 0.250 K
0.828 0.672 0.750 K
0.000 0.000 0.000 Np
0.500 0.500 0.500 Np
0.000 0.000 0.301 Br
0.000 0.000 0.699 Br
0.100 0.690 0.000 Br
0.190 0.600 0.500 Br
0.310 0.100 0.000 Br
0.400 0.190 0.500 Br
0.500 0.500 0.199 Br
0.500 0.500 0.801 Br
0.600 0.810 0.500 Br
0.690 0.900 0.000 Br
0.810 0.400 0.500 Br
0.900 0.310 0.000 Br
```


Simulated powder XRD pattern
Compound: HoAlZn6Cu
Radiation: Cu Kα (λ = 1.5418 Å)
Structure: a cell relaxed with PBE
Peak positions follow from Bragg's law for the DFT cell and can differ from measured ones.

Most intense lines, 10 to 90 degrees two-theta, sorted by position:
12.9°, d = 6.858 Å, intensity 51
33.3°, d = 2.689 Å, intensity 90
34.7°, d = 2.584 Å, intensity 100
37.9°, d = 2.376 Å, intensity 35
39.0°, d = 2.308 Å, intensity 39
40.7°, d = 2.218 Å, intensity 67
42.8°, d = 2.111 Å, intensity 32
47.6°, d = 1.912 Å, intensity 33

Crystal structure
```
HoAlZn6Cu
1.0
-3.382 4.436 5.404
3.382 -4.436 5.404
3.382 4.436 -5.404
Ho Al Zn Cu
2 2 12 2
direct
0.451 0.201 0.250 Ho
0.549 0.799 0.750 Ho
0.000 0.000 0.500 Al
0.000 0.500 0.000 Al
0.138 0.435 0.320 Zn
0.138 0.818 0.703 Zn
0.175 0.925 0.250 Zn
0.240 0.490 0.750 Zn
0.386 0.182 0.820 Zn
0.386 0.565 0.203 Zn
0.614 0.435 0.797 Zn
0.614 0.818 0.180 Zn
0.760 0.510 0.250 Zn
0.825 0.075 0.750 Zn
0.862 0.182 0.297 Zn
0.862 0.565 0.680 Zn
0.000 0.000 0.000 Cu
0.500 0.000 0.500 Cu
```


Simulated powder XRD pattern
Compound: BaLiMnN2
Radiation: Cu Kα (λ = 1.5418 Å)
Structure: a cell relaxed with PBE
Peak positions follow from Bragg's law for the DFT cell and can differ from measured ones.

Most intense lines, 10 to 90 degrees two-theta, sorted by position:
17.4°, d = 5.087 Å, intensity 22
26.7°, d = 3.340 Å, intensity 100
31.0°, d = 2.885 Å, intensity 37
34.7°, d = 2.585 Å, intensity 91
38.7°, d = 2.327 Å, intensity 48
40.7°, d = 2.215 Å, intensity 36
47.2°, d = 1.925 Å, intensity 29
52.4°, d = 1.745 Å, intensity 22

Crystal structure
```
BaLiMnN2
1.0
2.398 -5.771 0.000
2.398 5.771 0.000
0.000 0.000 5.087
Ba Li Mn N
2 2 2 4
direct
0.250 0.750 0.752 Ba
0.750 0.250 0.248 Ba
0.000 0.000 0.500 Li
0.500 0.500 0.500 Li
0.250 0.250 0.000 Mn
0.750 0.750 0.000 Mn
0.096 0.904 0.189 N
0.404 0.596 0.189 N
0.596 0.404 0.811 N
0.904 0.096 0.811 N
```


Simulated powder XRD pattern
Compound: CoCuIrS4
Radiation: Cu Kα (λ = 1.5418 Å)
Structure: a cell relaxed with PBE
Peak positions follow from Bragg's law for the DFT cell and can differ from measured ones.

Most intense lines, 10 to 90 degrees two-theta, sorted by position:
16.0°, d = 5.544 Å, intensity 96
18.3°, d = 4.856 Å, intensity 22
26.4°, d = 3.376 Å, intensity 25
30.2°, d = 2.957 Å, intensity 100
30.6°, d = 2.919 Å, intensity 51
37.0°, d = 2.429 Å, intensity 76
49.0°, d = 1.858 Å, intensity 32
53.4°, d = 1.717 Å, intensity 69

Crystal structure
```
CoCuIrS4
1.0
-3.376 3.497 4.856
3.376 -3.497 4.856
3.376 3.497 -4.856
Co Cu Ir S
2 2 2 8
direct
0.500 0.000 0.000 Co
0.500 0.500 0.500 Co
0.121 0.371 0.750 Cu
0.879 0.629 0.250 Cu
0.000 0.000 0.000 Ir
0.500 0.000 0.500 Ir
0.266 0.250 0.484 S
0.266 0.782 0.016 S
0.272 0.243 0.029 S
0.285 0.757 0.529 S
0.715 0.243 0.471 S
0.728 0.757 0.971 S
0.734 0.218 0.984 S
0.734 0.750 0.516 S
```


Simulated powder XRD pattern
Compound: Li2AcNdSi2
Radiation: Cu Kα (λ = 1.5418 Å)
Structure: a cell relaxed with PBE
Peak positions follow from Bragg's law for the DFT cell and can differ from measured ones.

Most intense lines, 10 to 90 degrees two-theta, sorted by position:
22.5°, d = 3.947 Å, intensity 84
22.7°, d = 3.919 Å, intensity 22
32.2°, d = 2.781 Å, intensity 100
39.6°, d = 2.279 Å, intensity 34
46.0°, d = 1.971 Å, intensity 35
51.9°, d = 1.762 Å, intensity 26
52.1°, d = 1.755 Å, intensity 19
67.1°, d = 1.394 Å, intensity 25

Crystal structure
```
Li2AcNdSi2
1.0
4.557 0.000 0.000
-2.279 3.947 0.000
0.000 0.000 7.837
Li Ac Nd Si
2 1 1 2
direct
0.333 0.667 0.207 Li
0.667 0.333 0.793 Li
0.000 0.000 0.500 Ac
0.000 0.000 0.000 Nd
0.333 0.667 0.771 Si
0.667 0.333 0.229 Si
```


Simulated powder XRD pattern
Compound: AcHoTm
Radiation: Cu Kα (λ = 1.5418 Å)
Structure: a cell relaxed with PBE
Peak positions follow from Bragg's law for the DFT cell and can differ from measured ones.

Most intense lines, 10 to 90 degrees two-theta, sorted by position:
29.8°, d = 2.996 Å, intensity 100
34.2°, d = 2.622 Å, intensity 35
35.3°, d = 2.544 Å, intensity 16
49.1°, d = 1.854 Å, intensity 13
50.0°, d = 1.826 Å, intensity 24
58.5°, d = 1.577 Å, intensity 30
60.0°, d = 1.542 Å, intensity 13
61.9°, d = 1.498 Å, intensity 12

Crystal structure
```
AcHoTm
1.0
-1.854 1.854 7.631
1.854 -1.854 7.631
1.854 1.854 -7.631
Ac Ho Tm
1 1 1
direct
0.000 0.000 0.000 Ac
0.674 0.674 0.000 Ho
0.327 0.327 0.000 Tm
```